1.
The following is a simulated PXRD pattern of Cs4Re6Se13. It was derived from a structure optimized by DFT (PBE), using Cu Kα (weighted mean of Kα1 and Kα2).
Intensities are scaled so that the largest is 1000.

Structural model:
```
data_Cs4Re6Se13
_chemical_formula_sum 'Cs16 Re24 Se52'
_cell_length_a 10.695
_cell_length_b 18.064
_cell_length_c 14.552
_cell_angle_alpha 90.00
_cell_angle_beta 101.33
_cell_angle_gamma 90.00
_space_group_name_H-M_alt 'C 1 2/c 1'
_space_group_IT_number 15
_space_group_name_Hall '-C 2yc'
loop_
_atom_site_label
_atom_site_type_symbol
_atom_site_fract_x
_atom_site_fract_y
_atom_site_fract_z
Cs1 Cs 0.201 0.021 0.284
Cs2 Cs 0.205 0.375 0.413
Re1 Re 0.139 0.216 0.075
Re2 Re 0.145 0.207 0.894
Re3 Re 0.155 0.339 0.979
Se1 Se 0.000 0.139 0.750
Se2 Se 0.014 0.461 0.933
Se3 Se 0.040 0.180 0.335
Se4 Se 0.046 0.260 0.552
Se5 Se 0.134 0.090 0.993
Se6 Se 0.152 0.342 0.153
Se7 Se 0.164 0.325 0.806
```

Largest 6 diffraction maxima, by angle, 2θ from 10° to 90°:
Position (°2θ), I/Imax, (hkl)
10.6, 1000, 1 1 -1
12.4, 864, 1 1 1
15.8, 181, 0 2 2
42.6, 149, 5 1 -1
43.6, 191, 3 7 0
44.6, 158, 2 8 1

---

2.
The following is a simulated PXRD pattern of Cs2TlRe. It was derived from a structure optimized by DFT (PBE), using Cu Kα (weighted mean of Kα1 and Kα2).
Intensities are scaled so that the largest is 1000.

Structural model:
```
data_Cs2TlRe
_chemical_formula_sum 'Cs8 Tl4 Re4'
_cell_length_a 8.416
_cell_length_b 8.416
_cell_length_c 8.416
_cell_angle_alpha 90.00
_cell_angle_beta 90.00
_cell_angle_gamma 90.00
_space_group_name_H-M_alt 'F m -3 m'
_space_group_IT_number 225
_space_group_name_Hall '-F 4 2 3'
loop_
_atom_site_label
_atom_site_type_symbol
_atom_site_fract_x
_atom_site_fract_y
_atom_site_fract_z
Cs1 Cs 0.250 0.250 0.250
Tl1 Tl 0.000 0.000 0.000
Re1 Re 0.000 0.000 0.500
```

Largest 6 diffraction maxima, by angle, 2θ from 10° to 90°:
Position (°2θ), I/Imax, (hkl)
30.0, 1000, 2 2 0
43.0, 188, 4 0 0
53.3, 402, 4 2 2
62.4, 126, 4 4 0
70.8, 174, 6 2 0
86.6, 211, 6 4 2

---

3.
The following is a simulated PXRD pattern of CsReW2. It was derived from a structure optimized by DFT (PBE), using Cu Kα (weighted mean of Kα1 and Kα2).
Intensities are scaled so that the largest is 1000.

Structural model:
```
data_CsReW2
_chemical_formula_sum 'Cs4 Re4 W8'
_cell_length_a 6.664
_cell_length_b 6.664
_cell_length_c 6.664
_cell_angle_alpha 90.00
_cell_angle_beta 90.00
_cell_angle_gamma 90.00
_space_group_name_H-M_alt 'F m -3 m'
_space_group_IT_number 225
_space_group_name_Hall '-F 4 2 3'
loop_
_atom_site_label
_atom_site_type_symbol
_atom_site_fract_x
_atom_site_fract_y
_atom_site_fract_z
Cs1 Cs 0.000 0.000 0.000
Re1 Re 0.000 0.000 0.500
W1 W 0.250 0.250 0.250
```

Largest 6 diffraction maxima, by angle, 2θ from 10° to 90°:
Position (°2θ), I/Imax, (hkl)
23.1, 14, 1 1 1
38.2, 1000, 2 2 0
45.1, 9, 3 1 1
55.1, 174, 4 0 0
69.0, 357, 4 2 2
81.7, 114, 4 4 0